Diffraction record for TbHo3Cd4. The powder XRD pattern is theoretical, not measured: it uses a structure optimized by DFT (PBE) and a wavelength of 1.5418 Å.
Neutral-atom scattering factors, no anomalous dispersion.

Top 10 peaks for 10° ≤ 2θ ≤ 90°, most intense first:
| 2θ/deg | Rel. int. |
| --- | --- |
| 33.87 | 100 |
| 34.07 | 49 |
| 60.86 | 36 |
| 60.46 | 18 |
| 48.95 | 18 |
| 71.26 | 11 |
| 48.35 | 9 |
| 80.82 | 8 |
| 81.74 | 8 |
| 81.85 | 8 |

Crystal structure
```
TbHo3Cd4
1.0
5.263 0.000 0.000
0.000 5.263 0.000
0.000 0.000 7.530
Tb Ho Cd
1 3 4
direct
0.000 0.000 0.000
0.000 0.000 0.500
0.500 0.500 0.000
0.500 0.500 0.500
0.000 0.500 0.252
0.000 0.500 0.748
0.500 0.000 0.252
0.500 0.000 0.748
```



Diffraction record for Tb3HoCd3. The powder XRD pattern is theoretical, not measured: it uses a structure optimized by DFT (PBE) and a wavelength of 1.5418 Å.
Neutral-atom scattering factors, no anomalous dispersion.

Top 10 peaks for 10° ≤ 2θ ≤ 90°, most intense first:
| 2θ/deg | Rel. int. |
| --- | --- |
| 35.00 | 100 |
| 33.46 | 28 |
| 33.70 | 27 |
| 48.23 | 19 |
| 60.81 | 19 |
| 61.11 | 19 |
| 23.57 | 11 |
| 73.93 | 11 |
| 63.59 | 9 |
| 63.74 | 8 |

Crystal structure
```
Tb3HoCd3
1.0
5.319 -5.356 0.000
5.319 5.356 0.000
0.000 0.000 6.988
Tb Ho Cd
6 2 6
direct
0.236 0.236 0.000
0.238 0.238 0.500
0.240 0.760 0.000
0.760 0.240 0.000
0.762 0.762 0.500
0.764 0.764 0.000
0.242 0.758 0.500
0.758 0.242 0.500
0.000 0.500 0.251
0.000 0.500 0.749
0.500 0.000 0.251
0.500 0.000 0.749
0.500 0.500 0.248
0.500 0.500 0.752
```